# 1
Calculated powder XRD pattern
Compound: MnVPt5
Radiation: Cu Kα (weighted mean of Kα1 and Kα2)
Structure: a cell relaxed with GGA-PBE

Structural model:
```
7
Lattice="3.8964 0.0000 0.0000 0.0000 3.8964 0.0000 0.0000 0.0000 7.3769" Properties=species:S:1:pos:R:3 pbc="T T T"
Mn 0.0000 0.0000 0.0000
V 1.9482 1.9482 3.6884
Pt 0.0000 1.9482 2.0472
Pt 0.0000 1.9482 5.3297
Pt 1.9482 0.0000 2.0472
Pt 1.9482 0.0000 5.3297
Pt 1.9482 1.9482 0.0000
```

The 10 most intense peaks (15° ≤ 2θ ≤ 90°), sorted by position:
| 2θ/deg | I/Imax | index |
| --- | --- | --- |
| 24.13 | 17 | 0 0 2 |
| 32.50 | 20 | 1 1 0 |
| 34.76 | 16 | 1 1 1 |
| 40.88 | 100 | 1 1 2 |
| 46.62 | 38 | 2 0 0 |
| 49.42 | 11 | 0 0 4 |
| 68.06 | 12 | 2 2 0 |
| 70.29 | 15 | 2 0 4 |
| 72.70 | 11 | 1 1 5 |
| 82.55 | 27 | 3 1 2 |


# 2
Calculated powder XRD pattern
Compound: Mn2VPt9
Radiation: Cu Kα (weighted mean of Kα1 and Kα2)
Structure: a cell relaxed with GGA-PBE

Structural model:
```
12
Lattice="3.9267 0.0000 0.0000 0.0000 3.9267 0.0000 0.0000 0.0000 11.7799" Properties=species:S:1:pos:R:3 pbc="T T T"
Mn 0.0000 0.0000 1.9475
Mn 0.0000 0.0000 9.8324
V 0.0000 0.0000 5.8900
Pt 0.0000 1.9634 0.0000
Pt 0.0000 1.9634 3.9748
Pt 0.0000 1.9634 7.8051
Pt 1.9634 0.0000 0.0000
Pt 1.9634 0.0000 3.9748
Pt 1.9634 0.0000 7.8051
Pt 1.9634 1.9634 1.9839
Pt 1.9634 1.9634 5.8900
Pt 1.9634 1.9634 9.7960
```

The 10 most intense peaks (15° ≤ 2θ ≤ 90°), sorted by position:
| 2θ/deg | I/Imax | index |
| --- | --- | --- |
| 22.64 | 15 | 1 0 0 |
| 32.24 | 12 | 1 1 0 |
| 39.76 | 100 | 1 1 3 |
| 46.24 | 49 | 2 0 0 |
| 52.08 | 7 | 2 1 0 |
| 57.49 | 5 | 2 1 3 |
| 67.46 | 32 | 2 2 0 |
| 72.17 | 3 | 3 0 0 |
| 81.26 | 38 | 3 1 3 |
| 85.70 | 11 | 2 2 6 |


# 3
Calculated powder XRD pattern
Compound: MnPtW2
Radiation: Cu Kα (weighted mean of Kα1 and Kα2)
Structure: a cell relaxed with GGA-PBE

Structural model:
```
8
Lattice="3.4813 0.0000 0.0000 0.0000 4.1704 0.0000 0.0000 0.0000 8.3247" Properties=species:S:1:pos:R:3 pbc="T T T"
Mn 0.0000 0.0000 0.0000
Mn 1.7407 2.0852 0.0000
Pt 0.0000 2.0852 6.3256
Pt 1.7407 0.0000 6.3256
W 0.0000 0.0000 4.2261
W 0.0000 2.0852 1.9851
W 1.7407 0.0000 1.9851
W 1.7407 2.0852 4.2261
```

The 10 most intense peaks (15° ≤ 2θ ≤ 90°), sorted by position:
| 2θ/deg | I/Imax | index |
| --- | --- | --- |
| 21.35 | 6 | 0 0 2 |
| 35.27 | 9 | 1 1 1 |
| 40.10 | 100 | 1 1 2 |
| 43.44 | 39 | 0 2 0 |
| 52.58 | 12 | 2 0 0 |
| 63.11 | 14 | 0 2 4 |
| 70.50 | 19 | 2 2 0 |
| 77.39 | 15 | 1 3 2 |
| 77.52 | 13 | 1 1 6 |
| 86.57 | 11 | 2 2 4 |